Entry 1:
Diffraction record for MgZn2CdTe4. The X-ray diffraction stick pattern is simulated, not measured: it uses a DFT-relaxed cell (PBE, Alexandria) and Cu Kα X-rays.
Kinematic intensities with the Lorentz-polarization factor, no thermal factor.

Principal peaks in the range 2θ from 10° to 90°, in order of falling intensity:
- (1 1 2), 2θ = 24.20°, intensity 100
- (2 0 4), 2θ = 39.94°, intensity 48
- (3 1 2), 2θ = 47.50°, intensity 32
- (2 2 0), 2θ = 40.23°, intensity 24
- (4 2 4), 2θ = 72.92°, intensity 16
- (1 1 6), 2θ = 46.99°, intensity 15

```
data_MgZn2CdTe4
_chemical_formula_sum 'Mg2 Zn4 Cd2 Te8'
_space_group_name_H-M_alt 'I -4 2 m'
_space_group_IT_number 121
_space_group_name_Hall 'I -4 2'
_cell_length_a 6.341
_cell_length_b 6.341
_cell_length_c 12.860
_cell_angle_alpha 90.00
_cell_angle_beta 90.00
_cell_angle_gamma 90.00
loop_
_atom_site_label
_atom_site_type_symbol
_atom_site_fract_x
_atom_site_fract_y
_atom_site_fract_z
Mg1 Mg 0.000 0.000 0.000
Zn1 Zn 0.000 0.500 0.250
Cd1 Cd 0.000 0.000 0.500
Te1 Te 0.247 0.247 0.134
```

---

Entry 2:
Diffraction record for BaHoGa2Pt2. The X-ray diffraction stick pattern is simulated, not measured: it uses a DFT-relaxed cell (PBE, Alexandria) and Cu Kα X-rays.
Kinematic intensities with the Lorentz-polarization factor, no thermal factor.

Principal peaks in the range 2θ from 10° to 90°, in order of falling intensity:
- (1 0 2), 2θ = 31.96°, intensity 100
- (1 1 0), 2θ = 40.09°, intensity 69
- (0 0 1), 2θ = 10.99°, intensity 34
- (0 1 1), 2θ = 25.40°, intensity 26
- (0 2 2), 2θ = 52.16°, intensity 25
- (2 1 2), 2θ = 67.76°, intensity 23

```
data_BaHoGa2Pt2
_chemical_formula_sum 'Ba1 Ho1 Ga2 Pt2'
_space_group_name_H-M_alt 'P -3 m 1'
_space_group_IT_number 164
_space_group_name_Hall '-P 3 2"'
_cell_length_a 4.4986
_cell_length_b 4.4986
_cell_length_c 8.0533
_cell_angle_alpha 90.00
_cell_angle_beta 90.00
_cell_angle_gamma 120.00
loop_
_atom_site_label
_atom_site_type_symbol
_atom_site_fract_x
_atom_site_fract_y
_atom_site_fract_z
Ba1 Ba 0.0000 0.0000 0.0000
Ho1 Ho 0.0000 0.0000 0.5000
Ga1 Ga 0.3333 0.6667 0.6994
Pt1 Pt 0.3333 0.6667 0.3090
```

---

Entry 3:
Diffraction record for Th2Al4Zn3Ga. The X-ray diffraction stick pattern is simulated, not measured: it uses a DFT-relaxed cell (PBE, Alexandria) and Cu Kα X-rays.
Kinematic intensities with the Lorentz-polarization factor, no thermal factor.

Principal peaks in the range 2θ from 10° to 90°, in order of falling intensity:
- (1 1 2), 2θ = 34.04°, intensity 100
- (1 0 3), 2θ = 32.85°, intensity 76
- (1 0 1), 2θ = 22.34°, intensity 55
- (2 0 0), 2θ = 42.08°, intensity 44
- (2 1 3), 2θ = 54.39°, intensity 37
- (1 0 5), 2θ = 47.91°, intensity 33

```
data_Th2Al4Zn3Ga
_chemical_formula_sum 'Th2 Al4 Zn3 Ga1'
_space_group_name_H-M_alt 'P -4 m 2'
_space_group_IT_number 115
_cell_length_a 4.295
_cell_length_b 4.295
_cell_length_c 10.583
_cell_angle_alpha 90.00
_cell_angle_beta 90.00
_cell_angle_gamma 90.00
loop_
_space_group_symop_operation_xyz
'x,y,z'
'y,-x,-z'
'-x,-y,z'
'-y,x,-z'
'-x,y,z'
'-y,-x,-z'
'x,-y,z'
'y,x,-z'
loop_
_atom_site_label
_atom_site_type_symbol
_atom_site_fract_x
_atom_site_fract_y
_atom_site_fract_z
Th1 Th 0.000 0.500 0.248
Al1 Al 0.000 0.000 0.500
Al2 Al 0.000 0.500 0.866
Al3 Al 0.500 0.500 0.500
Zn1 Zn 0.000 0.000 0.000
Zn2 Zn 0.000 0.500 0.635
Ga1 Ga 0.500 0.500 0.000
```

---

Entry 4:
Diffraction record for Ce4AlIr4. The X-ray diffraction stick pattern is simulated, not measured: it uses a DFT-relaxed cell (PBE, Alexandria) and Cu Kα X-rays.
Kinematic intensities with the Lorentz-polarization factor, no thermal factor.

Principal peaks in the range 2θ from 10° to 90°, in order of falling intensity:
- (1 3 0), 2θ = 32.11°, intensity 100
- (1 3 2), 2θ = 46.77°, intensity 71
- (0 0 2), 2θ = 33.08°, intensity 44
- (4 2 2), 2θ = 57.86°, intensity 26
- (4 2 0), 2θ = 46.04°, intensity 25
- (2 2 0), 2θ = 28.64°, intensity 20

```
data_Ce4AlIr4
_chemical_formula_sum 'Ce8 Al2 Ir8'
_space_group_name_H-M_alt 'I 4/m'
_space_group_IT_number 87
_space_group_name_Hall '-I 4'
_cell_length_a 8.816
_cell_length_b 8.816
_cell_length_c 5.415
_cell_angle_alpha 90.00
_cell_angle_beta 90.00
_cell_angle_gamma 90.00
loop_
_atom_site_label
_atom_site_type_symbol
_atom_site_fract_x
_atom_site_fract_y
_atom_site_fract_z
Ce1 Ce 0.086 0.297 0.000
Al1 Al 0.000 0.000 0.500
Ir1 Ir 0.087 0.267 0.500
```

---

Entry 5:
Diffraction record for Ti8Al3Ga2. The X-ray diffraction stick pattern is simulated, not measured: it uses a DFT-relaxed cell (PBE, Alexandria) and Cu Kα X-rays.
Kinematic intensities with the Lorentz-polarization factor, no thermal factor.

Principal peaks in the range 2θ from 10° to 90°, in order of falling intensity:
- (1 1 -3), 2θ = 39.41°, intensity 100
- (2 1 1), 2θ = 39.85°, intensity 93
- (3 0 -2), 2θ = 42.23°, intensity 39
- (0 2 0), 2θ = 43.13°, intensity 39
- (3 2 -2), 2θ = 61.95°, intensity 23
- (1 2 4), 2θ = 70.08°, intensity 22

```
data_Ti8Al3Ga2
_chemical_formula_sum 'Ti8 Al3 Ga2'
_space_group_name_H-M_alt 'P 1 2/m 1'
_space_group_IT_number 10
_cell_length_a 6.628
_cell_length_b 4.195
_cell_length_c 8.253
_cell_angle_alpha 90.00
_cell_angle_beta 106.84
_cell_angle_gamma 90.00
loop_
_space_group_symop_operation_xyz
'x,y,z'
'-x,-y,-z'
'-x,y,-z'
'x,-y,z'
loop_
_atom_site_label
_atom_site_type_symbol
_atom_site_fract_x
_atom_site_fract_y
_atom_site_fract_z
Ti1 Ti 0.066 0.000 0.350
Ti2 Ti 0.102 0.500 0.865
Ti3 Ti 0.350 0.500 0.270
Ti4 Ti 0.368 0.000 0.796
Al1 Al 0.215 0.500 0.570
Al2 Al 0.500 0.000 0.500
Ga1 Ga 0.201 0.000 0.069
```

---

Entry 6:
Diffraction record for Pa4Si6Os7. The X-ray diffraction stick pattern is simulated, not measured: it uses a DFT-relaxed cell (PBE, Alexandria) and Cu Kα X-rays.
Kinematic intensities with the Lorentz-polarization factor, no thermal factor.

Principal peaks in the range 2θ from 10° to 90°, in order of falling intensity:
- (2 2 2), 2θ = 37.58°, intensity 100
- (4 0 0), 2θ = 43.67°, intensity 70
- (4 4 0), 2θ = 63.47°, intensity 44
- (2 1 1), 2θ = 26.33°, intensity 44
- (3 2 1), 2θ = 40.72°, intensity 39
- (6 2 2), 2θ = 76.16°, intensity 36

```
data_Pa4Si6Os7
_chemical_formula_sum 'Pa8 Si12 Os14'
_space_group_name_H-M_alt 'I m -3 m'
_space_group_IT_number 229
_space_group_name_Hall '-I 4 2 3'
_cell_length_a 8.291
_cell_length_b 8.291
_cell_length_c 8.291
_cell_angle_alpha 90.00
_cell_angle_beta 90.00
_cell_angle_gamma 90.00
loop_
_atom_site_label
_atom_site_type_symbol
_atom_site_fract_x
_atom_site_fract_y
_atom_site_fract_z
Pa1 Pa 0.250 0.250 0.250
Si1 Si 0.000 0.000 0.317
Os1 Os 0.000 0.000 0.000
Os2 Os 0.000 0.250 0.500
```

---

Entry 7:
Diffraction record for KInCu2Cl8. The X-ray diffraction stick pattern is simulated, not measured: it uses a DFT-relaxed cell (PBE, Alexandria) and Cu Kα X-rays.
Kinematic intensities with the Lorentz-polarization factor, no thermal factor.

Principal peaks in the range 2θ from 10° to 90°, in order of falling intensity:
- (0 1 -1), 2θ = 13.74°, intensity 100
- (2 1 0), 2θ = 36.85°, intensity 39
- (1 -2 0), 2θ = 25.65°, intensity 38
- (1 0 0), 2θ = 15.72°, intensity 36
- (1 -3 1), 2θ = 36.19°, intensity 28
- (1 1 0), 2θ = 22.12°, intensity 25

```
data_KInCu2Cl8
_chemical_formula_sum 'K1 In1 Cu2 Cl8'
_space_group_name_H-M_alt 'P -1'
_space_group_IT_number 2
_cell_length_a 6.141
_cell_length_b 7.871
_cell_length_c 8.322
_cell_angle_alpha 106.82
_cell_angle_beta 108.92
_cell_angle_gamma 97.15
loop_
_space_group_symop_operation_xyz
'x,y,z'
'-x,-y,-z'
loop_
_atom_site_label
_atom_site_type_symbol
_atom_site_fract_x
_atom_site_fract_y
_atom_site_fract_z
K1 K 0.000 0.000 0.000
In1 In 0.500 0.000 0.500
Cu1 Cu 0.311 0.344 0.794
Cl1 Cl 0.087 0.773 0.281
Cl2 Cl 0.303 0.273 0.505
Cl3 Cl 0.359 0.419 0.093
Cl4 Cl 0.444 0.009 0.783
```

---

Entry 8:
Diffraction record for LiHo4Os. The X-ray diffraction stick pattern is simulated, not measured: it uses a DFT-relaxed cell (PBE, Alexandria) and Cu Kα X-rays.
Kinematic intensities with the Lorentz-polarization factor, no thermal factor.

Principal peaks in the range 2θ from 10° to 90°, in order of falling intensity:
- (2 0 2), 2θ = 30.25°, intensity 100
- (1 0 1), 2θ = 14.99°, intensity 43
- (4 0 0), 2θ = 36.15°, intensity 40
- (4 2 2), 2θ = 47.83°, intensity 31
- (2 2 0), 2θ = 25.35°, intensity 29
- (3 3 2), 2θ = 45.95°, intensity 28

```
data_LiHo4Os
_chemical_formula_sum 'Li4 Ho16 Os4'
_space_group_name_H-M_alt 'I 41 m d'
_space_group_IT_number 109
_space_group_name_Hall 'I 4bw -2'
_cell_length_a 9.939
_cell_length_b 9.939
_cell_length_c 7.348
_cell_angle_alpha 90.00
_cell_angle_beta 90.00
_cell_angle_gamma 90.00
loop_
_atom_site_label
_atom_site_type_symbol
_atom_site_fract_x
_atom_site_fract_y
_atom_site_fract_z
Li1 Li 0.000 0.000 0.000
Ho1 Ho 0.000 0.191 0.333
Ho2 Ho 0.000 0.235 0.816
Os1 Os 0.000 0.000 0.600
```